For La3Ag2, a cell relaxed with PBE gives the theoretical PXRD pattern in this record (Cu Kα (λ = 1.5418 Å)).
No peak broadening, texture or thermal motion is included.

Atomic structure:
a b c (Å): 3.8106 3.8106 20.4324
angles (deg): 90.00 90.00 90.00
Space group P4/mmm (No. 123)
Inequivalent atoms, fractional coordinates:
La: 0.0000 0.0000 0.0000 (multiplicity 1)
La: 0.0000 0.0000 0.1891 (multiplicity 2)
La: 0.0000 0.0000 0.3763 (multiplicity 2)
La: 0.5000 0.5000 0.5000 (multiplicity 1)
Ag: 0.5000 0.5000 0.0943 (multiplicity 2)
Ag: 0.5000 0.5000 0.2829 (multiplicity 2)

The 10 most intense peaks (5 to 70 degrees two-theta), low angle first:
- (1 0 4), 29.24°, I 6
- (1 0 5), 32.12°, I 100
- (1 1 0), 33.25°, I 56
- (1 0 6), 35.35°, I 12
- (2 0 0), 47.73°, I 20
- (1 1 10), 56.53°, I 10
- (2 1 5), 58.70°, I 35
- (1 1 11), 60.55°, I 9
- (2 0 10), 67.18°, I 6
- (2 2 0), 69.81°, I 6

=====

For NaMgP2Pt4, a cell relaxed with PBE gives the theoretical PXRD pattern in this record (Cu Kα (λ = 1.5418 Å)).
No peak broadening, texture or thermal motion is included.

Atomic structure:
a b c (Å): 4.0265 4.0265 9.4433
angles (deg): 90.00 90.00 90.00
Space group P4/mmm (No. 123)
Inequivalent atoms, fractional coordinates:
Na: 0.0000 0.0000 0.0000 (multiplicity 1)
Mg: 0.0000 0.0000 0.5000 (multiplicity 1)
P: 0.5000 0.5000 0.1768 (multiplicity 2)
Pt: 0.0000 0.5000 0.2986 (multiplicity 4)

The 10 most intense peaks (5 to 70 degrees two-theta), low angle first:
- (0 0 1), 9.37°, I 48
- (0 0 2), 18.79°, I 100
- (0 0 3), 28.35°, I 29
- (1 1 0), 31.42°, I 64
- (1 1 2), 36.86°, I 81
- (1 1 3), 42.83°, I 58
- (2 0 0), 45.03°, I 43
- (2 0 2), 49.20°, I 33
- (2 0 3), 54.07°, I 20
- (1 1 5), 58.66°, I 35

=====

For Ag2RuAu, a cell relaxed with PBE gives the theoretical PXRD pattern in this record (Cu Kα (λ = 1.5418 Å)).
No peak broadening, texture or thermal motion is included.

Atomic structure:
a b c (Å): 2.8011 2.8011 8.6571
angles (deg): 90.00 90.00 90.00
Space group P4/mmm (No. 123)
Inequivalent atoms, fractional coordinates:
Ag: 0.0000 0.0000 0.2429 (multiplicity 2)
Ru: 0.5000 0.5000 0.0000 (multiplicity 1)
Au: 0.5000 0.5000 0.5000 (multiplicity 1)

The 10 most intense peaks (5 to 70 degrees two-theta), low angle first:
- (0 0 1), 10.22°, I 12
- (0 0 2), 20.52°, I 2
- (0 0 3), 30.99°, I 2
- (1 0 1), 33.63°, I 6
- (1 0 2), 38.27°, I 100
- (0 0 4), 41.73°, I 19
- (1 1 0), 45.81°, I 30
- (1 1 3), 56.34°, I 2
- (1 1 4), 63.69°, I 22
- (2 0 0), 66.79°, I 9

=====

For Hf6BeN, a cell relaxed with PBE gives the theoretical PXRD pattern in this record (Cu Kα (λ = 1.5418 Å)).
No peak broadening, texture or thermal motion is included.

Atomic structure:
a b c (Å): 6.0381 9.3114 5.5575
angles (deg): 90.00 106.22 90.00
Space group C2/m (No. 12)
Inequivalent atoms, fractional coordinates:
Hf: 0.1794 0.1751 0.2527 (multiplicity 8)
Hf: 0.2337 0.5000 0.1931 (multiplicity 4)
Be: 0.0000 0.5000 0.5000 (multiplicity 2)
N: 0.0000 0.0000 0.0000 (multiplicity 2)

The 10 most intense peaks (5 to 70 degrees two-theta), low angle first:
- (2 0 -1), 30.71°, I 19
- (2 0 0), 30.85°, I 44
- (1 3 0), 32.73°, I 14
- (0 0 2), 33.59°, I 54
- (1 3 -1), 34.82°, I 97
- (2 2 -1), 36.40°, I 13
- (1 3 1), 38.93°, I 100
- (2 0 1), 39.30°, I 20
- (3 3 0), 56.06°, I 19
- (1 3 -3), 58.00°, I 17